Structure and theoretical X-ray powder pattern of MgCrH3C2O6 (the PBE+U geometry in Alexandria; copper Kα).
Intensities are scaled so that the largest is 100.

Structural model:
```
MgCrH3C2O6
1.0
6.1971 0.0000 0.0000
1.2664 6.9074 0.0000
3.0743 -0.0101 7.1503
Mg Cr H C O
2 2 6 4 12
direct
0.2119 0.0002 0.0763
0.7881 0.9998 0.9237
0.1782 0.5994 0.5006
0.8218 0.4006 0.4994
0.2689 0.4986 0.9650
0.3093 0.9050 0.4986
0.4138 0.8392 0.5096
0.5862 0.1608 0.4904
0.6907 0.0950 0.5014
0.7311 0.5014 0.0350
0.0547 0.2582 0.7627
0.3191 0.2577 0.2385
0.6809 0.7423 0.7615
0.9453 0.7418 0.2373
0.0779 0.1397 0.8921
0.0968 0.2284 0.2917
0.1139 0.7715 0.2915
0.1840 0.3884 0.6953
0.3812 0.3878 0.3066
0.4712 0.1386 0.1094
0.5288 0.8614 0.8906
0.6188 0.6122 0.6934
0.8160 0.6116 0.3047
0.8861 0.2285 0.7085
0.9032 0.7716 0.7083
0.9221 0.8603 0.1079
```

Most intense lines, 2θ = 10–90°, low angle first:
2θ/deg	intensity	h k l
12.38	9	0 0 1
15.80	50	1 0 0
17.85	100	0 1 -1
28.28	51	-1 1 1
29.83	13	2 1 1
37.78	10	2 2 0
37.87	10	2 2 2
45.36	31	1 -2 3